No. 1
Ni3I4: computed PXRD pattern (Cu Ka), based on DFT lattice parameters and positions (PBE).

Largest 6 diffraction maxima, by angle, 2θ from 5° to 70°:
Position (°2θ)  d_spacing  Rel. int.
26.37  3.380  100
30.46  2.935  11
43.62  2.075  21
43.79  2.067  42
51.69  1.768  30
51.99  1.759  15

Structural model:
a b c (Å): 5.8694 5.8694 11.6517
angles (deg): 90.00 90.00 90.00
Atoms (fractional coordinates):
Ni: 0.0000 0.0000 0.0000
Ni: 0.0000 0.5000 0.2500
Ni: 0.0000 0.5000 0.7500
Ni: 0.5000 0.0000 0.2500
Ni: 0.5000 0.0000 0.7500
Ni: 0.5000 0.5000 0.5000
I: 0.2480 0.2480 0.8743
I: 0.2480 0.7520 0.1257
I: 0.2520 0.2520 0.3743
I: 0.2520 0.7480 0.6257
I: 0.7480 0.2520 0.6257
I: 0.7480 0.7480 0.3743
I: 0.7520 0.2480 0.1257
I: 0.7520 0.7520 0.8743


No. 2
Ni3I4: computed PXRD pattern (Cu Ka), based on DFT lattice parameters and positions (PBE).

Largest 6 diffraction maxima, by angle, 2θ from 5° to 70°:
Position (°2θ)  d_spacing  Rel. int.
26.51  3.363  100
30.79  2.904  11
43.91  2.062  42
44.10  2.054  21
51.85  1.763  15
52.19  1.753  30

Structural model:
a b c (Å): 5.8086 5.8086 5.8570
angles (deg): 90.00 90.00 90.00
Atoms (fractional coordinates):
Ni: 0.0000 0.0000 0.0000
Ni: 0.0000 0.5000 0.5000
Ni: 0.5000 0.0000 0.5000
I: 0.2516 0.2516 0.7510
I: 0.2516 0.7484 0.2490
I: 0.7484 0.2516 0.2490
I: 0.7484 0.7484 0.7510


No. 3
NiI3: computed PXRD pattern (Cu Ka), based on DFT lattice parameters and positions (PBE).

Largest 6 diffraction maxima, by angle, 2θ from 5° to 70°:
Position (°2θ)  d_spacing  Rel. int.
28.15  3.171  18
29.68  3.010  100
38.73  2.325  30
45.94  1.975  27
50.78  1.798  23
54.75  1.676  14

Structural model:
a b c (Å): 6.8409 6.8409 12.6822
angles (deg): 90.00 90.00 120.00
Atoms (fractional coordinates):
Ni: 0.0000 0.0000 0.2500
Ni: 0.0000 0.0000 0.7500
Ni: 0.3333 0.6667 0.2500
Ni: 0.6667 0.3333 0.7500
I: 0.0322 0.3380 0.3690
I: 0.0322 0.6942 0.1310
I: 0.3058 0.3380 0.1310
I: 0.3058 0.9678 0.3690
I: 0.3380 0.0322 0.8690
I: 0.3380 0.3058 0.6310
I: 0.6620 0.6942 0.3690
I: 0.6620 0.9678 0.1310
I: 0.6942 0.0322 0.6310
I: 0.6942 0.6620 0.8690
I: 0.9678 0.3058 0.8690
I: 0.9678 0.6620 0.6310


No. 4
NiSe2I6: computed PXRD pattern (Cu Ka), based on DFT lattice parameters and positions (PBE).

Largest 6 diffraction maxima, by angle, 2θ from 5° to 70°:
Position (°2θ)  d_spacing  Rel. int.
9.07  9.749  31
23.26  3.825  100
25.12  3.544  47
26.33  3.385  46
28.80  3.100  81
31.10  2.875  44

Structural model:
a b c (Å): 5.0442 7.4817 10.2742
angles (deg): 106.93 95.12 96.24
Atoms (fractional coordinates):
Ni: 0.0000 0.0000 0.0000
Se: 0.2992 0.2015 0.1812
Se: 0.7008 0.7985 0.8188
I: 0.0610 0.5063 0.2095
I: 0.2571 0.1527 0.4216
I: 0.3178 0.1425 0.8728
I: 0.6822 0.8575 0.1272
I: 0.7429 0.8473 0.5784
I: 0.9390 0.4937 0.7905


No. 5
NpSe2I2: computed PXRD pattern (Cu Ka), based on DFT lattice parameters and positions (PBE).

Largest 6 diffraction maxima, by angle, 2θ from 5° to 70°:
Position (°2θ)  d_spacing  Rel. int.
11.68  7.574  100
14.19  6.243  53
28.63  3.118  100
30.09  2.970  28
35.86  2.504  34
37.07  2.425  30

Structural model:
a b c (Å): 7.6958 7.6958 8.2428
angles (deg): 101.37 101.37 120.06
Atoms (fractional coordinates):
Np: 0.1436 0.8564 0.0000
Np: 0.8564 0.1436 0.0000
Se: 0.1289 0.1289 0.2909
Se: 0.3094 0.3094 0.1186
Se: 0.6906 0.6906 0.8814
Se: 0.8711 0.8711 0.7091
I: 0.0267 0.4183 0.7615
I: 0.4183 0.0267 0.7615
I: 0.5817 0.9733 0.2385
I: 0.9733 0.5817 0.2385


No. 6
OsI3O: computed PXRD pattern (Cu Ka), based on DFT lattice parameters and positions (PBE).

Largest 6 diffraction maxima, by angle, 2θ from 5° to 70°:
Position (°2θ)  d_spacing  Rel. int.
9.85  8.981  62
15.60  5.680  39
24.97  3.566  91
28.10  3.175  100
43.14  2.097  71
52.28  1.750  48

Structural model:
a b c (Å): 12.7013 12.7013 3.7152
angles (deg): 90.00 90.00 90.00
Atoms (fractional coordinates):
Os: 0.1122 0.1122 0.0000
Os: 0.3878 0.6122 0.5000
Os: 0.6122 0.3878 0.5000
Os: 0.8878 0.8878 0.0000
I: 0.1033 0.8967 0.0000
I: 0.1106 0.3255 0.0000
I: 0.1745 0.6106 0.5000
I: 0.3255 0.1106 0.0000
I: 0.3894 0.8255 0.5000
I: 0.3967 0.3967 0.5000
I: 0.6033 0.6033 0.5000
I: 0.6106 0.1745 0.5000
I: 0.6745 0.8894 0.0000
I: 0.8255 0.3894 0.5000
I: 0.8894 0.6745 0.0000
I: 0.8967 0.1033 0.0000
O: 0.1114 0.1114 0.5000
O: 0.3886 0.6114 0.0000
O: 0.6114 0.3886 0.0000
O: 0.8886 0.8886 0.5000


Which formula does entry 3 have?
NiI3